No. 1
NaV4O10: theoretical powder diffraction line list (Cu Kα X-rays), based on a DFT-relaxed cell (GGA+U, the Materials Project).
Neutral-atom scattering factors, no anomalous dispersion.

The 10 most intense peaks (2θ from 10° to 90°), sorted by position:
| Position (°2θ) | intensity |
| --- | --- |
| 18.92 | 383 |
| 20.74 | 434 |
| 25.36 | 716 |
| 27.11 | 260 |
| 28.55 | 688 |
| 29.16 | 295 |
| 31.84 | 273 |
| 33.73 | 1000 |
| 38.38 | 284 |
| 49.54 | 408 |

Structural model:
```
data_NaV4O10
_chemical_formula_sum 'Na4 V16 O40'
_cell_length_a 3.680
_cell_length_b 11.754
_cell_length_c 18.762
_cell_angle_alpha 90.00
_cell_angle_beta 90.00
_cell_angle_gamma 90.00
_space_group_name_H-M_alt 'C m c m'
_space_group_IT_number 63
_space_group_name_Hall '-C 2c 2'
loop_
_atom_site_label
_atom_site_type_symbol
_atom_site_fract_x
_atom_site_fract_y
_atom_site_fract_z
Na1 Na 0.000 0.080 0.250
V1 V 0.000 0.271 0.583
V2 V 0.000 0.437 0.081
O1 O 0.000 0.101 0.568
O2 O 0.000 0.260 0.061
O3 O 0.000 0.296 0.669
O4 O 0.000 0.420 0.548
O5 O 0.000 0.459 0.168
```

***

No. 2
NaV5O8: theoretical powder diffraction line list (Cu Kα X-rays), based on a DFT-relaxed cell (GGA+U, the Materials Project).
Neutral-atom scattering factors, no anomalous dispersion.

The 10 most intense peaks (2θ from 10° to 90°), sorted by position:
| Position (°2θ) | intensity |
| --- | --- |
| 17.13 | 1000 |
| 26.93 | 156 |
| 34.64 | 318 |
| 35.08 | 160 |
| 36.59 | 175 |
| 41.07 | 880 |
| 42.36 | 419 |
| 60.20 | 220 |
| 60.73 | 236 |
| 77.78 | 121 |

Structural model:
```
data_NaV5O8
_chemical_formula_sum 'Na2 V10 O16'
_cell_length_a 10.622
_cell_length_b 3.003
_cell_length_c 10.639
_cell_angle_alpha 90.00
_cell_angle_beta 102.96
_cell_angle_gamma 90.00
_space_group_name_H-M_alt 'C 1 2 1'
_space_group_IT_number 5
_space_group_name_Hall 'C 2y'
loop_
_atom_site_label
_atom_site_type_symbol
_atom_site_fract_x
_atom_site_fract_y
_atom_site_fract_z
Na1 Na 0.000 0.000 0.000
V1 V 0.000 0.997 0.500
V2 V 0.235 0.993 0.368
V3 V 0.237 0.009 0.873
O1 O 0.129 0.500 0.449
O2 O 0.145 0.504 0.936
O3 O 0.152 0.002 0.670
O4 O 0.162 0.979 0.184
```

***

No. 3
NaV6O11: theoretical powder diffraction line list (Cu Kα X-rays), based on a DFT-relaxed cell (GGA+U, the Materials Project).
Neutral-atom scattering factors, no anomalous dispersion.

The 10 most intense peaks (2θ from 10° to 90°), sorted by position:
| Position (°2θ) | intensity |
| --- | --- |
| 13.12 | 363 |
| 21.88 | 423 |
| 26.42 | 341 |
| 31.82 | 944 |
| 33.26 | 748 |
| 37.79 | 555 |
| 40.74 | 460 |
| 54.44 | 1000 |
| 54.96 | 480 |
| 63.32 | 534 |

Structural model:
```
data_NaV6O11
_chemical_formula_sum 'Na2 V12 O22'
_cell_length_a 5.8753
_cell_length_b 5.8753
_cell_length_c 13.4974
_cell_angle_alpha 90.00
_cell_angle_beta 90.00
_cell_angle_gamma 120.00
_space_group_name_H-M_alt 'P 63 m c'
_space_group_IT_number 186
_space_group_name_Hall 'P 6c -2c'
loop_
_atom_site_label
_atom_site_type_symbol
_atom_site_fract_x
_atom_site_fract_y
_atom_site_fract_z
Na1 Na 0.3333 0.6667 0.0000
V1 V 0.0000 0.0000 0.1134
V2 V 0.0000 0.0000 0.4105
V3 V 0.0001 0.5000 0.2623
V4 V 0.3333 0.6667 0.5130
O1 O 0.1474 0.2947 0.5122
O2 O 0.1737 0.3474 0.1882
O3 O 0.1756 0.3513 0.8379
O4 O 0.3333 0.6667 0.3451
O5 O 0.3333 0.6667 0.6788
```

***

No. 4
NaV2O4: theoretical powder diffraction line list (Cu Kα X-rays), based on a DFT-relaxed cell (GGA+U, the Materials Project).
Neutral-atom scattering factors, no anomalous dispersion.

The 10 most intense peaks (2θ from 10° to 90°), sorted by position:
| Position (°2θ) | intensity |
| --- | --- |
| 15.49 | 1000 |
| 31.26 | 95 |
| 35.12 | 167 |
| 40.51 | 399 |
| 41.26 | 221 |
| 50.96 | 125 |
| 54.58 | 55 |
| 56.22 | 105 |
| 62.08 | 102 |
| 64.78 | 85 |

Structural model:
```
data_NaV2O4
_chemical_formula_sum 'Na4 V8 O16'
_cell_length_a 11.851
_cell_length_b 5.944
_cell_length_c 5.192
_cell_angle_alpha 90.00
_cell_angle_beta 105.06
_cell_angle_gamma 90.00
_space_group_name_H-M_alt 'C 1 c 1'
_space_group_IT_number 9
_space_group_name_Hall 'C -2yc'
loop_
_atom_site_label
_atom_site_type_symbol
_atom_site_fract_x
_atom_site_fract_y
_atom_site_fract_z
Na1 Na 0.000 0.191 0.000
V1 V 0.249 0.125 0.502
V2 V 0.255 0.374 0.997
O1 O 0.157 0.119 0.776
O2 O 0.164 0.360 0.290
O3 O 0.340 0.108 0.219
O4 O 0.346 0.373 0.716
```

***

No. 5
NaV2O4: theoretical powder diffraction line list (Cu Kα X-rays), based on a DFT-relaxed cell (GGA+U, the Materials Project).
Neutral-atom scattering factors, no anomalous dispersion.

The 10 most intense peaks (2θ from 10° to 90°), sorted by position:
| Position (°2θ) | intensity |
| --- | --- |
| 18.88 | 341 |
| 19.05 | 538 |
| 32.90 | 490 |
| 33.20 | 824 |
| 36.24 | 1000 |
| 40.82 | 235 |
| 49.79 | 398 |
| 50.08 | 296 |
| 61.23 | 301 |
| 63.72 | 195 |

Structural model:
```
data_NaV2O4
_chemical_formula_sum 'Na4 V8 O16'
_cell_length_a 9.320
_cell_length_b 2.921
_cell_length_c 10.890
_cell_angle_alpha 90.00
_cell_angle_beta 90.00
_cell_angle_gamma 90.00
_space_group_name_H-M_alt 'P n m a'
_space_group_IT_number 62
_space_group_name_Hall '-P 2ac 2n'
loop_
_atom_site_label
_atom_site_type_symbol
_atom_site_fract_x
_atom_site_fract_y
_atom_site_fract_z
Na1 Na 0.243 0.250 0.153
V1 V 0.064 0.250 0.388
V2 V 0.081 0.250 0.896
O1 O 0.022 0.750 0.781
O2 O 0.077 0.250 0.571
O3 O 0.113 0.750 0.020
O4 O 0.208 0.750 0.351
```

***

No. 6
NaV2O5: theoretical powder diffraction line list (Cu Kα X-rays), based on a DFT-relaxed cell (GGA+U, the Materials Project).
Neutral-atom scattering factors, no anomalous dispersion.

The 10 most intense peaks (2θ from 10° to 90°), sorted by position:
| Position (°2θ) | intensity |
| --- | --- |
| 17.70 | 1000 |
| 23.55 | 270 |
| 25.64 | 401 |
| 29.33 | 539 |
| 30.33 | 584 |
| 31.33 | 272 |
| 33.94 | 468 |
| 35.84 | 210 |
| 47.42 | 218 |
| 50.06 | 305 |

Structural model:
```
data_NaV2O5
_chemical_formula_sum 'Na2 V4 O10'
_cell_length_a 3.644
_cell_length_b 11.503
_cell_length_c 5.011
_cell_angle_alpha 90.00
_cell_angle_beta 90.00
_cell_angle_gamma 90.00
_space_group_name_H-M_alt 'P m m n'
_space_group_IT_number 59
loop_
_space_group_symop_operation_xyz
'x,y,z'
'-x,-y,-z'
'-x+1/2,-y+1/2,z'
'x+1/2,y+1/2,-z'
'x+1/2,-y,-z'
'-x+1/2,y,z'
'-x,y+1/2,-z'
'x,-y+1/2,z'
loop_
_atom_site_label
_atom_site_type_symbol
_atom_site_fract_x
_atom_site_fract_y
_atom_site_fract_z
Na1 Na 0.250 0.250 0.124
V1 V 0.250 0.600 0.400
O1 O 0.250 0.071 0.481
O2 O 0.250 0.619 0.074
O3 O 0.250 0.750 0.531
```

***

No. 7
NaVWO6: theoretical powder diffraction line list (Cu Kα X-rays), based on a DFT-relaxed cell (GGA+U, the Materials Project).
Neutral-atom scattering factors, no anomalous dispersion.

The 10 most intense peaks (2θ from 10° to 90°), sorted by position:
| Position (°2θ) | intensity |
| --- | --- |
| 13.12 | 1000 |
| 19.14 | 198 |
| 20.10 | 318 |
| 25.72 | 371 |
| 26.08 | 319 |
| 27.04 | 557 |
| 28.20 | 298 |
| 30.80 | 202 |
| 36.81 | 193 |
| 40.10 | 196 |

Structural model:
```
data_NaVWO6
_chemical_formula_sum 'Na2 V2 W2 O12'
_cell_length_a 9.632
_cell_length_b 3.765
_cell_length_c 7.356
_cell_angle_alpha 90.00
_cell_angle_beta 113.45
_cell_angle_gamma 90.00
_space_group_name_H-M_alt 'C 1 m 1'
_space_group_IT_number 8
_space_group_name_Hall 'C -2y'
loop_
_atom_site_label
_atom_site_type_symbol
_atom_site_fract_x
_atom_site_fract_y
_atom_site_fract_z
Na1 Na 0.000 0.000 0.000
V1 V 0.316 0.500 0.360
W1 W 0.177 0.000 0.616
O1 O 0.017 0.000 0.685
O2 O 0.176 0.500 0.139
O3 O 0.189 0.500 0.551
O4 O 0.300 0.000 0.431
O5 O 0.329 0.000 0.853
O6 O 0.478 0.500 0.316
```